Record 1
Starting from a DFT-relaxed cell (GGA-PBE, the Materials Project), the powder diffractogram of MgScGa was calculated for copper Kα.

Crystal structure
```
3
Lattice="0.0000 3.2390 3.2390 3.2390 0.0000 3.2390 3.2390 3.2390 0.0000" Properties=species:S:1:pos:R:3 pbc="T T T"
Mg 0.0000 0.0000 0.0000
Sc 3.2390 3.2390 3.2390
Ga 4.8585 4.8585 4.8585
```

The 7 most intense peaks (10 to 80 degrees two-theta), by angle:
| two_theta | Rel. int. |
| --- | --- |
| 23.8 | 71 |
| 39.3 | 100 |
| 46.5 | 34 |
| 56.9 | 16 |
| 62.5 | 14 |
| 71.3 | 31 |
| 76.4 | 10 |


Record 2
Starting from a DFT-relaxed cell (GGA-PBE, the Materials Project), the powder diffractogram of Cs2NaScCl6 was calculated for copper Kα.

Crystal structure
```
10
Lattice="0.0000 5.3325 5.3325 5.3325 0.0000 5.3325 5.3325 5.3325 0.0000" Properties=species:S:1:pos:R:3 pbc="T T T"
Cs 2.6662 2.6662 2.6662
Cs 7.9987 7.9987 7.9987
Na 0.0000 0.0000 0.0000
Sc 5.3325 5.3325 5.3325
Cl 5.3325 5.3325 2.8234
Cl 5.3325 2.8234 5.3325
Cl 7.8416 5.3325 5.3325
Cl 2.8234 5.3325 5.3325
Cl 5.3325 7.8416 5.3325
Cl 5.3325 5.3325 7.8416
```

The 10 most intense peaks (10 to 80 degrees two-theta), by angle:
| two_theta | Rel. int. |
| --- | --- |
| 16.6 | 20 |
| 23.6 | 100 |
| 29.0 | 99 |
| 33.6 | 88 |
| 41.5 | 44 |
| 48.3 | 58 |
| 54.4 | 22 |
| 57.3 | 36 |
| 60.1 | 19 |
| 65.5 | 24 |


Record 3
Starting from a DFT-relaxed cell (GGA-PBE, the Materials Project), the powder diffractogram of NaMg6Ni was calculated for copper Kα.

Crystal structure
```
8
Lattice="4.9554 0.0000 0.0000 0.0000 3.1463 5.3851 0.0000 -3.1463 5.3851" Properties=species:S:1:pos:R:3 pbc="T T T"
Na 0.0000 0.0000 0.0000
Mg 0.0000 -1.4684 2.5841
Mg 0.0000 1.4684 2.5841
Mg 0.0000 0.0000 5.3462
Mg 2.4777 -1.5203 4.4217
Mg 2.4777 1.5203 4.4217
Mg 2.4777 0.0000 7.1825
Ni 2.4777 0.0000 2.1034
```

The 10 most intense peaks (10 to 80 degrees two-theta), by angle:
| two_theta | Rel. int. |
| --- | --- |
| 16.3 | 19 |
| 33.0 | 16 |
| 33.3 | 18 |
| 36.3 | 35 |
| 37.8 | 100 |
| 38.0 | 30 |
| 50.0 | 11 |
| 59.3 | 11 |
| 66.2 | 17 |
| 71.5 | 12 |


Record 4
Starting from a DFT-relaxed cell (GGA-PBE, the Materials Project), the powder diffractogram of CeBrO was calculated for copper Kα.

Crystal structure
```
6
Lattice="4.0152 0.0000 0.0000 0.0000 4.0152 0.0000 0.0000 0.0000 8.1940" Properties=species:S:1:pos:R:3 pbc="T T T"
Ce 1.0038 1.0038 1.2225
Ce 3.0114 3.0114 6.9715
Br 1.0038 1.0038 5.3693
Br 3.0114 3.0114 2.8247
O 1.0038 3.0114 0.0000
O 3.0114 1.0038 0.0000
```

The 10 most intense peaks (10 to 80 degrees two-theta), by angle:
| two_theta | Rel. int. |
| --- | --- |
| 10.8 | 20 |
| 31.2 | 100 |
| 31.5 | 46 |
| 38.6 | 10 |
| 45.2 | 23 |
| 50.0 | 11 |
| 55.3 | 16 |
| 55.9 | 38 |
| 69.6 | 8 |
| 74.6 | 8 |